This entry pairs a crystal structure of Sb2C3N6 with its computed powder diffraction line list. Radiation: copper Kα. Structure: a PBE-relaxed structure.
Intensities are scaled so that the largest is 100.

a = 6.8799 Å, b = 6.8799 Å, c = 29.0402 Å
α = 90.00°, β = 90.00°, γ = 120.00°
Space group R-3c (No. 167, hexagonal axes)
Unique sites:
Sb1 0.0000 0.0000 0.1648 [12 per cell]
C1 0.0000 0.2547 0.2500 [18 per cell]
N1 0.0434 0.2802 0.2916 [36 per cell]

Main lines, most intense first (2θ from 5° to 70°):
| d (Å) | I_rel |
| --- | --- |
| 5.512 | 100.0 |
| 2.804 | 97.4 |
| 3.440 | 50.5 |
| 4.840 | 41.0 |
| 1.979 | 36.0 |
| 4.606 | 34.2 |
| 1.837 | 23.2 |
| 1.986 | 21.2 |
| 2.151 | 18.0 |
| 1.621 | 17.9 |

***

This entry pairs a crystal structure of CsK2Hg6 with its computed powder diffraction line list. Radiation: copper Kα. Structure: a PBE-relaxed structure.
Intensities are scaled so that the largest is 100.

a = 9.5411 Å, b = 9.5411 Å, c = 4.1295 Å
α = 90.00°, β = 90.00°, γ = 120.00°
Space group P6/mmm (No. 191)
Unique sites:
Cs1 0.0000 0.0000 0.0000 [1 per cell]
K1 0.3333 0.6667 0.0000 [2 per cell]
Hg1 0.0000 0.3398 0.5000 [6 per cell]

Main lines, most intense first (2θ from 5° to 70°):
| d (Å) | I_rel |
| --- | --- |
| 2.754 | 100.0 |
| 3.122 | 94.2 |
| 1.652 | 72.9 |
| 2.291 | 59.6 |
| 4.130 | 47.5 |
| 2.065 | 43.7 |
| 4.771 | 27.7 |
| 1.590 | 19.0 |
| 1.484 | 15.7 |
| 1.377 | 13.8 |

***

This entry pairs a crystal structure of Dy3Tm4Hg4 with its computed powder diffraction line list. Radiation: copper Kα. Structure: a PBE-relaxed structure.
Intensities are scaled so that the largest is 100.

a = 5.132 Å, b = 7.172 Å, c = 16.533 Å
α = 90.00°, β = 90.00°, γ = 90.00°
Space group Immm (No. 71)
Unique sites:
Dy1 0.000 0.000 0.000 [2 per cell]
Dy2 0.000 0.500 0.103 [4 per cell]
Tm1 0.000 0.268 0.322 [8 per cell]
Hg1 0.000 0.000 0.187 [4 per cell]
Hg2 0.000 0.208 0.500 [4 per cell]

Main lines, most intense first (2θ from 5° to 70°):
| d (Å) | I_rel |
| --- | --- |
| 2.894 | 100.0 |
| 2.566 | 47.7 |
| 2.197 | 39.1 |
| 3.003 | 24.3 |
| 2.755 | 22.9 |
| 2.937 | 21.6 |
| 2.594 | 19.9 |
| 2.299 | 19.2 |
| 2.780 | 15.8 |
| 1.537 | 15.7 |

***

This entry pairs a crystal structure of SrOsRu with its computed powder diffraction line list. Radiation: copper Kα. Structure: a PBE-relaxed structure.
Intensities are scaled so that the largest is 100.

a = 7.520 Å, b = 4.400 Å, c = 7.773 Å
α = 90.00°, β = 90.00°, γ = 90.00°
Space group Pnma (No. 62)
Unique sites:
Sr1 0.000 0.250 0.177 [4 per cell]
Os1 0.160 0.250 0.577 [4 per cell]
Ru1 0.159 0.750 0.422 [4 per cell]

Main lines, most intense first (2θ from 5° to 70°):
| d (Å) | I_rel |
| --- | --- |
| 2.716 | 100.0 |
| 2.386 | 75.2 |
| 2.233 | 67.6 |
| 5.405 | 66.8 |
| 2.200 | 49.5 |
| 2.683 | 45.9 |
| 1.450 | 45.5 |
| 1.617 | 45.4 |
| 1.900 | 25.9 |
| 2.702 | 18.8 |